Computed powder XRD pattern
Compound: Na2W4O13
Radiation: λ = 1.5418 Å (Cu Kα)
Structure: a structure optimized by DFT (GGA+U)
Kinematic intensities with the Lorentz-polarization factor, no thermal factor.

Most intense lines, 2θ = 10–90°, by intensity:
2θ (°), I_rel, h k l
23.70, 1000, 1 1 0
10.50, 724, 2 0 0
21.10, 374, 4 0 0
24.46, 370, 2 0 2
28.27, 368, 4 0 -2
35.41, 291, 5 1 0
32.21, 283, 1 1 2
34.27, 219, 3 1 -2
14.03, 214, 2 0 -1
31.88, 207, 6 0 0

Crystal structure
```
data_Na2W4O13
_chemical_formula_sum 'Na4 W8 O26'
_space_group_name_H-M_alt 'C 1 2/m 1'
_space_group_IT_number 12
_cell_length_a 16.9318
_cell_length_b 3.8503
_cell_length_c 8.5307
_cell_angle_alpha 90.00
_cell_angle_beta 95.96
_cell_angle_gamma 90.00
loop_
_space_group_symop_operation_xyz
'x,y,z'
'-x,-y,-z'
'-x,y,-z'
'x,-y,z'
'x+1/2,y+1/2,z'
'-x+1/2,-y+1/2,-z'
'-x+1/2,y+1/2,-z'
'x+1/2,-y+1/2,z'
loop_
_atom_site_label
_atom_site_type_symbol
_atom_site_fract_x
_atom_site_fract_y
_atom_site_fract_z
_atom_site_occupancy
Na1 Na 0.2126 0.0000 0.1909 1
W1 W 0.0856 0.5000 0.8666 1
W2 W 0.0969 0.5000 0.4777 1
O1 O 0.0000 0.5000 0.0000 1
O2 O 0.0028 0.5000 0.6541 1
O3 O 0.0768 0.0000 0.8547 1
O4 O 0.0925 0.0000 0.4905 1
O5 O 0.1542 0.5000 0.6903 1
O6 O 0.1705 0.5000 0.0097 1
O7 O 0.1720 0.5000 0.3469 1
```